# 1
For GaSnAu, the GGA-PBE geometry in Alexandria gives the computed PXRD pattern in this record (Cu Kα (weighted mean of Kα1 and Kα2)).
No peak broadening, texture or thermal motion is included.

The 8 most intense peaks (10 to 90 degrees two-theta), in order of rising 2θ:
Position (°2θ)	intensity
24.66	69
24.80	62
27.77	43
32.90	57
34.94	77
35.35	39
43.53	100
43.62	100

Cell and atoms:
Cell lengths 4.408, 7.176, 4.425 Å; angles 90.00, 108.90, 90.00 degrees
Space group P2_1 (No. 4)
Inequivalent atoms, fractional coordinates:
Ga (0.107, 0.000, 0.395) x2
Sn (0.398, 0.269, 0.099) x2
Au (0.237, 0.635, 0.266) x2


# 2
For Ga2Sn3Au3, the GGA-PBE geometry in Alexandria gives the computed PXRD pattern in this record (Cu Kα (weighted mean of Kα1 and Kα2)).
No peak broadening, texture or thermal motion is included.

The 8 most intense peaks (10 to 90 degrees two-theta), in order of rising 2θ:
Position (°2θ)	intensity
22.60	82
25.39	51
27.27	69
33.79	89
39.36	85
39.79	61
40.78	100
42.30	57

Cell and atoms:
Cell lengths 4.437, 10.777, 8.041 Å; angles 90.00, 101.90, 90.00 degrees
Space group P2_1/m (No. 11)
Inequivalent atoms, fractional coordinates:
Ga (0.177, 0.132, 0.419) x4
Sn (0.085, 0.595, 0.144) x4
Sn (0.440, 0.750, 0.853) x2
Au (0.358, 0.521, 0.680) x4
Au (0.360, 0.250, 0.746) x2


# 3
For Ga2Sn2Au3, the GGA-PBE geometry in Alexandria gives the computed PXRD pattern in this record (Cu Kα (weighted mean of Kα1 and Kα2)).
No peak broadening, texture or thermal motion is included.

The 8 most intense peaks (10 to 90 degrees two-theta), in order of rising 2θ:
Position (°2θ)	intensity
14.25	33
22.29	38
30.44	100
35.04	41
37.70	37
41.07	32
41.18	45
47.50	31

Cell and atoms:
Cell lengths 13.009, 4.396, 6.396 Å; angles 90.00, 103.61, 90.00 degrees
Space group C2/m (No. 12)
Inequivalent atoms, fractional coordinates:
Ga (0.170, 0.000, 0.314) x4
Sn (0.116, 0.500, 0.889) x4
Au (0.000, 0.000, 0.000) x2
Au (0.217, 0.000, 0.730) x4


# 4
For GaSnAu, the GGA-PBE geometry in Alexandria gives the computed PXRD pattern in this record (Cu Kα (weighted mean of Kα1 and Kα2)).
No peak broadening, texture or thermal motion is included.

The 8 most intense peaks (10 to 90 degrees two-theta), in order of rising 2θ:
Position (°2θ)	intensity
19.48	59
29.73	100
31.40	74
34.97	34
37.00	35
40.84	70
41.72	60
43.79	41

Cell and atoms:
Cell lengths 4.453, 5.157, 6.548 Å; angles 70.74, 71.71, 87.22 degrees
Space group P-1 (No. 2)
Inequivalent atoms, fractional coordinates:
Ga (0.105, 0.281, 0.454) x2
Sn (0.317, 0.270, 0.937) x2
Au (0.297, 0.850, 0.733) x2


# 5
For TlGaSnAu2, the GGA-PBE geometry in Alexandria gives the computed PXRD pattern in this record (Cu Kα (weighted mean of Kα1 and Kα2)).
No peak broadening, texture or thermal motion is included.

The 8 most intense peaks (10 to 90 degrees two-theta), in order of rising 2θ:
Position (°2θ)	intensity
24.94	78
26.58	100
30.16	87
35.56	78
35.89	68
36.16	67
37.97	96
40.63	93

Cell and atoms:
Cell lengths 15.413, 4.441, 8.409 Å; angles 90.00, 121.89, 90.00 degrees
Space group C2/m (No. 12)
Inequivalent atoms, fractional coordinates:
Tl (0.248, 0.000, 0.171) x4
Ga (0.053, 0.500, 0.885) x4
Sn (0.126, 0.000, 0.448) x4
Au (0.089, 0.000, 0.750) x4
Au (0.147, 0.500, 0.265) x4


# 6
For ZnGaSnAu, the GGA-PBE geometry in Alexandria gives the computed PXRD pattern in this record (Cu Kα (weighted mean of Kα1 and Kα2)).
No peak broadening, texture or thermal motion is included.

The 8 most intense peaks (10 to 90 degrees two-theta), in order of rising 2θ:
Position (°2θ)	intensity
22.38	19
36.95	100
43.62	11
53.24	18
58.46	5
66.57	36
78.65	11
83.02	4

Cell and atoms:
Cell lengths 6.882, 6.882, 6.882 Å; angles 90.00, 90.00, 90.00 degrees
Space group F-43m (No. 216)
Inequivalent atoms, fractional coordinates:
Zn (0.000, 0.000, 0.000) x4
Ga (0.250, 0.250, 0.250) x4
Sn (0.250, 0.250, 0.750) x4
Au (0.000, 0.000, 0.500) x4


# 7
For SrGa6Au12, the GGA-PBE geometry in Alexandria gives the computed PXRD pattern in this record (Cu Kα (weighted mean of Kα1 and Kα2)).
No peak broadening, texture or thermal motion is included.

The 8 most intense peaks (10 to 90 degrees two-theta), in order of rising 2θ:
Position (°2θ)	intensity
21.27	38
32.65	100
33.03	53
39.14	43
39.47	62
42.88	19
43.33	24
48.21	49

Cell and atoms:
Cell lengths 11.9703, 11.9703, 9.1260 Å; angles 90.00, 90.00, 120.00 degrees
Space group R-3m (No. 166, hexagonal axes)
Inequivalent atoms, fractional coordinates:
Sr (0.0000, 0.0000, 0.0000) x3
Ga (0.0560, 0.5280, 0.2508) x18
Au (0.0000, 0.3818, 0.5000) x18
Au (0.0830, 0.1660, 0.3022) x18


# 8
For SrGa3Au3, the GGA-PBE geometry in Alexandria gives the computed PXRD pattern in this record (Cu Kα (weighted mean of Kα1 and Kα2)).
No peak broadening, texture or thermal motion is included.

The 8 most intense peaks (10 to 90 degrees two-theta), in order of rising 2θ:
Position (°2θ)	intensity
26.20	57
28.32	50
29.32	63
33.41	82
36.82	97
38.60	100
43.76	76
47.03	55

Cell and atoms:
Cell lengths 8.599, 4.664, 9.140 Å; angles 90.00, 111.76, 90.00 degrees
Space group P2_1/m (No. 11)
Inequivalent atoms, fractional coordinates:
Sr (0.163, 0.250, 0.291) x2
Ga (0.206, 0.750, 0.032) x2
Ga (0.230, 0.250, 0.685) x2
Ga (0.421, 0.750, 0.583) x2
Au (0.107, 0.750, 0.530) x2
Au (0.116, 0.250, 0.909) x2
Au (0.452, 0.750, 0.298) x2